(1)
This entry pairs a crystal structure of SrNi2P2H4O10 with its calculated X-ray powder pattern. Radiation: Cu Ka. Structure: a DFT-relaxed cell (GGA+U, Alexandria).
Neutral-atom scattering factors, no anomalous dispersion.

Main lines, by angle (2θ from 10° to 90°):
2θ 19.61, I = 59.7, hkl 1 1 -1
2θ 20.13, I = 52.6, hkl 2 0 -1
2θ 26.30, I = 40.3, hkl 2 0 -2
2θ 28.12, I = 69.4, hkl 1 1 -2
2θ 29.68, I = 96.9, hkl 2 0 1
2θ 32.25, I = 100.0, hkl 0 2 1
2θ 33.23, I = 49.2, hkl 3 1 -1
2θ 35.74, I = 54.5, hkl 3 1 -2
2θ 39.82, I = 73.9, hkl 2 2 -2
2θ 54.13, I = 38.7, hkl 4 0 -4

Crystal structure
```
data_SrNi2P2H4O10
_cell_length_a 9.024
_cell_length_b 6.085
_cell_length_c 7.439
_cell_angle_alpha 90.00
_cell_angle_beta 114.28
_cell_angle_gamma 90.00
_symmetry_space_group_name_H-M 'C 1 2/m 1'
_symmetry_Int_Tables_number 12
loop_
_symmetry_equiv_pos_as_xyz
'x,y,z'
'-x,-y,-z'
'-x,y,-z'
'x,-y,z'
'x+1/2,y+1/2,z'
'-x+1/2,-y+1/2,-z'
'-x+1/2,y+1/2,-z'
'x+1/2,-y+1/2,z'
loop_
_atom_site_label
_atom_site_fract_x
_atom_site_fract_y
_atom_site_fract_z
_atom_site_occupancy
Sr1 0.000 0.000 0.000 1
Ni1 0.250 0.250 0.500 1
P1 0.088 0.500 0.778 1
H1 0.077 0.000 0.635 1
H2 0.244 0.500 0.204 1
O1 0.019 0.289 0.274 1
O2 0.187 0.000 0.641 1
O3 0.202 0.500 0.663 1
O4 0.205 0.500 0.997 1
```


(2)
This entry pairs a crystal structure of PmCr4Ga3O12 with its calculated X-ray powder pattern. Radiation: Cu Ka. Structure: a DFT-relaxed cell (GGA+U, Alexandria).
Neutral-atom scattering factors, no anomalous dispersion.

Main lines, by angle (2θ from 10° to 90°):
2θ 16.72, I = 9.5, hkl 1 1 0
2θ 23.74, I = 6.9, hkl 2 0 0
2θ 33.82, I = 100.0, hkl 2 2 0
2θ 37.95, I = 9.1, hkl 3 0 1
2θ 41.74, I = 7.5, hkl 2 2 2
2θ 45.26, I = 8.5, hkl 3 1 2
2θ 48.58, I = 24.9, hkl 4 0 0
2θ 60.50, I = 47.9, hkl 4 2 2
2θ 71.14, I = 12.2, hkl 4 4 0
2θ 81.14, I = 16.5, hkl 6 2 0

Crystal structure
```
data_PmCr4Ga3O12
_cell_length_a 7.497
_cell_length_b 7.497
_cell_length_c 7.497
_cell_angle_alpha 90.00
_cell_angle_beta 90.00
_cell_angle_gamma 90.00
_symmetry_space_group_name_H-M 'I m -3'
_symmetry_Int_Tables_number 204
_symmetry_space_group_name_Hall '-I 2 2 3'
loop_
_atom_site_label
_atom_site_fract_x
_atom_site_fract_y
_atom_site_fract_z
_atom_site_occupancy
Pm1 0.000 0.000 0.000 1
Cr1 0.250 0.250 0.250 1
Ga1 0.000 0.000 0.500 1
O1 0.000 0.309 0.174 1
```